Computed powder diffraction line list
Compound: La3In4Ag4
Radiation: Cu Kα (weighted mean of Kα1 and Kα2)
Structure: the PBE geometry in Alexandria

Peak list (10 most intense, 10 to 90 degrees two-theta, most intense first)
d 2.898, I = 100.0, hkl 1 2 1
d 2.817, I = 88.8, hkl 1 1 4
d 2.348, I = 47.4, hkl 2 0 0
d 2.279, I = 31.2, hkl 0 3 3
d 2.933, I = 25.6, hkl 0 1 5
d 2.651, I = 25.0, hkl 0 0 6
d 2.576, I = 24.8, hkl 1 2 3
d 2.162, I = 24.5, hkl 1 2 5
d 1.635, I = 21.8, hkl 2 3 3
d 1.758, I = 18.4, hkl 2 0 6

Cell and atoms:
Unit cell a=4.6953 b=7.5715 c=15.9071 alpha=90.00 beta=90.00 gamma=90.00
Space group Immm (No. 71)
Unique sites:
La1 0.0000 0.0000 0.0000 [2 per cell]
La2 0.0000 0.5000 0.1288 [4 per cell]
In1 0.0000 0.3013 0.3309 [8 per cell]
Ag1 0.0000 0.0000 0.2149 [4 per cell]
Ag2 0.0000 0.1884 0.5000 [4 per cell]

=====

Computed powder diffraction line list
Compound: Ba8TlPd2
Radiation: Cu Kα (weighted mean of Kα1 and Kα2)
Structure: the PBE geometry in Alexandria

Peak list (10 most intense, 10 to 90 degrees two-theta, most intense first)
d 3.217, I = 100.0, hkl 0 4 1
d 3.257, I = 82.5, hkl 3 1 -1
d 3.594, I = 74.0, hkl 2 0 1
d 3.120, I = 73.7, hkl 1 1 -2
d 2.829, I = 70.4, hkl 3 3 0
d 3.032, I = 63.9, hkl 2 4 0
d 2.682, I = 39.0, hkl 1 5 -1
d 3.832, I = 35.7, hkl 1 3 -1
d 1.831, I = 33.6, hkl 2 4 -3
d 2.044, I = 33.4, hkl 2 4 2

Cell and atoms:
Unit cell a=10.5538 b=15.0168 c=6.4012 alpha=90.00 beta=102.91 gamma=90.00
Space group Cm (No. 8)
Unique sites:
Ba1 0.0000 0.0000 0.0000 [2 per cell]
Ba2 0.0661 0.3660 0.8031 [4 per cell]
Ba3 0.1827 0.1336 0.6188 [4 per cell]
Ba4 0.2469 0.5000 0.4196 [2 per cell]
Ba5 0.3746 0.2468 0.2110 [4 per cell]
Tl1 0.3733 0.0000 0.2089 [2 per cell]
Pd1 0.3742 0.3136 0.7108 [4 per cell]